# Si2AgBr
Computed powder XRD pattern, Cu Kα (weighted mean of Kα1 and Kα2). Input: a structure optimized by DFT (GGA-PBE).
Lines closer than 0.1° are merged.

Structural model:
Cell: 5.9350 5.8937 3.9111 Å, 71.26 70.12 38.61°
Atoms (fractional coordinates):
1 Si 0.0000 0.5000 0.5000
2 Si 0.5000 0.0000 0.0000
3 Ag 0.0000 0.0000 0.0000
4 Br 0.5000 0.5000 0.5000

Top 8 peaks for 2θ = 10–90°, by angle:
- 16.96°, 5.228 Å, rel. 942
- 32.92°, 2.721 Å, rel. 658
- 34.31°, 2.614 Å, rel. 587
- 36.30°, 2.475 Å, rel. 1000
- 37.25°, 2.414 Å, rel. 278
- 48.28°, 1.885 Å, rel. 430
- 49.81°, 1.831 Å, rel. 781
- 72.70°, 1.301 Å, rel. 247

***

# SiAg5Te4Br2
Computed powder XRD pattern, Cu Kα (weighted mean of Kα1 and Kα2). Input: a structure optimized by DFT (GGA-PBE).
Lines closer than 0.1° are merged.

Structural model:
Cell: 8.3227 7.0545 7.0545 Å, 122.49 90.00 90.00°
Atoms (fractional coordinates):
1 Si 0.0000 0.0000 0.0000
2 Ag 0.2252 0.2569 0.6234
3 Ag 0.2252 0.6234 0.2569
4 Ag 0.5000 0.9221 0.9221
5 Ag 0.7748 0.2569 0.6234
6 Ag 0.7748 0.6234 0.2569
7 Te 0.0000 0.6102 0.9486
8 Te 0.0000 0.9486 0.6102
9 Te 0.2533 0.2032 0.2032
10 Te 0.7467 0.2032 0.2032
11 Br 0.5000 0.4925 0.8387
12 Br 0.5000 0.8387 0.4925

Top 8 peaks for 2θ = 10–90°, by angle:
- 25.27°, 3.524 Å, rel. 945
- 26.13°, 3.410 Å, rel. 1000
- 37.15°, 2.420 Å, rel. 789
- 43.49°, 2.081 Å, rel. 255
- 43.92°, 2.062 Å, rel. 249
- 44.66°, 2.029 Å, rel. 422
- 45.75°, 1.983 Å, rel. 241
- 50.97°, 1.792 Å, rel. 256

***

# AgSn3Br7
Computed powder XRD pattern, Cu Kα (weighted mean of Kα1 and Kα2). Input: a structure optimized by DFT (GGA-PBE).
Lines closer than 0.1° are merged.

Structural model:
Cell: 7.8792 7.8792 7.8792 Å, 91.10 91.10 91.10°
Atoms (fractional coordinates):
1 Ag 0.0000 0.0000 0.0000
2 Sn 0.2189 0.6188 0.6188
3 Sn 0.6188 0.2189 0.6188
4 Sn 0.6188 0.6188 0.2189
5 Br 0.2785 0.8746 0.8746
6 Br 0.3618 0.3618 0.3618
7 Br 0.4464 0.4464 0.8263
8 Br 0.4464 0.8263 0.4464
9 Br 0.8263 0.4464 0.4464
10 Br 0.8746 0.2785 0.8746
11 Br 0.8746 0.8746 0.2785

Top 8 peaks for 2θ = 10–90°, by angle:
- 16.07°, 5.516 Å, rel. 988
- 19.39°, 4.577 Å, rel. 1000
- 27.65°, 3.226 Å, rel. 290
- 31.82°, 2.812 Å, rel. 531
- 32.46°, 2.758 Å, rel. 315
- 34.15°, 2.625 Å, rel. 611
- 38.37°, 2.346 Å, rel. 330
- 42.65°, 2.120 Å, rel. 642